Entry 1:
Sn2SbTe4: calculated powder diffractogram (λ = 1.5418 Å (Cu Kα)), based on a cell relaxed with GGA-PBE.
Neutral-atom scattering factors, no anomalous dispersion.

Most intense lines, 10° ≤ 2θ ≤ 90°, low angle first:
two_theta  I (rel.)
24.6  89
27.8  94
30.4  53
31.1  100
33.1  37
42.8  42
44.1  38
46.0  42
46.3  35
51.8  37

Structural model:
Unit cell a=8.1832 b=13.9283 c=4.2254 alpha=90.00 beta=90.00 gamma=90.00
Space group Pbam (No. 55)
Inequivalent atoms, fractional coordinates:
Sn (0.1399, 0.1534, 0.0000) x4
Sb (0.0000, 0.5000, 0.5000) x2
Te (0.1198, 0.7082, 0.5000) x4
Te (0.2452, 0.9461, 0.0000) x4

***

Entry 2:
Tl2SnSbTe4: calculated powder diffractogram (λ = 1.5418 Å (Cu Kα)), based on a cell relaxed with GGA-PBE.
Neutral-atom scattering factors, no anomalous dispersion.

Most intense lines, 10° ≤ 2θ ≤ 90°, low angle first:
two_theta  I (rel.)
27.6  100
38.3  39
40.5  37
45.9  7
49.6  7
49.7  13
57.0  8
62.9  11
66.0  11
72.2  8

Structural model:
Unit cell a=7.7320 b=4.4545 c=8.3172 alpha=90.00 beta=108.20 gamma=90.00
Space group P2/m (No. 10)
Inequivalent atoms, fractional coordinates:
Tl (0.0000, 0.0000, 0.0000) x1
Tl (0.5000, 0.5000, 0.0000) x1
Sn (0.0000, 0.5000, 0.5000) x1
Sb (0.5000, 0.0000, 0.5000) x1
Te (0.2431, 0.0000, 0.7236) x2
Te (0.2608, 0.5000, 0.2786) x2

***

Entry 3:
Th4Sn2Sb: calculated powder diffractogram (λ = 1.5418 Å (Cu Kα)), based on a cell relaxed with GGA-PBE.
Neutral-atom scattering factors, no anomalous dispersion.

Most intense lines, 10° ≤ 2θ ≤ 90°, low angle first:
two_theta  I (rel.)
26.5  10
29.5  30
31.0  100
33.5  45
38.3  24
42.3  11
50.0  14
53.4  12
53.5  11
64.8  10

Structural model:
Unit cell a=4.6959 b=10.9613 c=17.0284 alpha=90.00 beta=90.00 gamma=90.00
Space group Cmcm (No. 63)
Inequivalent atoms, fractional coordinates:
Th (0.0000, 0.0000, 0.0000) x4
Th (0.0000, 0.3413, 0.2500) x4
Th (0.0000, 0.3541, 0.6319) x8
Sn (0.0000, 0.3254, 0.0640) x8
Sb (0.0000, 0.0444, 0.2500) x4

***

Entry 4:
Th2SnSb4: calculated powder diffractogram (λ = 1.5418 Å (Cu Kα)), based on a cell relaxed with GGA-PBE.
Neutral-atom scattering factors, no anomalous dispersion.

Most intense lines, 10° ≤ 2θ ≤ 90°, low angle first:
two_theta  I (rel.)
21.8  16
25.5  28
30.8  16
32.9  100
37.2  32
41.4  32
51.6  14
52.4  18
56.8  17
70.1  23

Structural model:
Unit cell a=4.3638 b=4.3638 c=11.6295 alpha=90.00 beta=90.00 gamma=90.00
Space group P-4m2 (No. 115)
Inequivalent atoms, fractional coordinates:
Th (0.0000, 0.5000, 0.2127) x2
Sn (0.0000, 0.0000, 0.5000) x1
Sb (0.0000, 0.0000, 0.0000) x1
Sb (0.0000, 0.5000, 0.7002) x2
Sb (0.5000, 0.5000, 0.0000) x1

***

Entry 5:
Th5SnSb4: calculated powder diffractogram (λ = 1.5418 Å (Cu Kα)), based on a cell relaxed with GGA-PBE.
Neutral-atom scattering factors, no anomalous dispersion.

Most intense lines, 10° ≤ 2θ ≤ 90°, low angle first:
two_theta  I (rel.)
24.2  16
28.0  100
40.0  78
47.2  9
49.5  28
57.8  13
63.5  4
65.4  37
72.6  28
86.2  9

Structural model:
Unit cell a=4.5132 b=4.5132 c=31.9022 alpha=90.00 beta=90.00 gamma=90.00
Space group I4/mmm (No. 139)
Inequivalent atoms, fractional coordinates:
Th (0.0000, 0.0000, 0.0000) x2
Th (0.0000, 0.0000, 0.2003) x4
Th (0.0000, 0.0000, 0.4003) x4
Sn (0.0000, 0.0000, 0.5000) x2
Sb (0.0000, 0.0000, 0.1002) x4
Sb (0.0000, 0.0000, 0.3002) x4

***

Entry 6:
Ti2SnSb: calculated powder diffractogram (λ = 1.5418 Å (Cu Kα)), based on a cell relaxed with GGA-PBE.
Neutral-atom scattering factors, no anomalous dispersion.

Most intense lines, 10° ≤ 2θ ≤ 90°, low angle first:
two_theta  I (rel.)
25.6  44
28.9  94
31.0  36
33.7  94
34.2  94
37.3  100
40.0  86
41.1  62
43.6  36
54.5  49

Structural model:
Unit cell a=4.3916 b=5.7035 c=6.6945 alpha=90.00 beta=90.00 gamma=90.00
Space group Pmc2_1 (No. 26)
Inequivalent atoms, fractional coordinates:
Ti (0.0000, 0.0957, 0.0000) x2
Ti (0.5000, 0.3994, 0.9474) x2
Sn (0.0000, 0.3987, 0.6552) x2
Sb (0.5000, 0.1185, 0.3010) x2

***

Entry 7:
Ti4SnSb2: calculated powder diffractogram (λ = 1.5418 Å (Cu Kα)), based on a cell relaxed with GGA-PBE.
Neutral-atom scattering factors, no anomalous dispersion.

Most intense lines, 10° ≤ 2θ ≤ 90°, low angle first:
two_theta  I (rel.)
26.6  57
34.6  100
41.2  69
49.7  32
52.3  21
54.8  9
57.3  20
70.8  32
75.0  15
87.3  22

Structural model:
Unit cell a=8.2061 b=8.2061 c=8.1993 alpha=90.00 beta=90.00 gamma=90.00
Space group I-42d (No. 122)
Inequivalent atoms, fractional coordinates:
Ti (0.0811, 0.6681, 0.4528) x16
Sn (0.0000, 0.0000, 0.5000) x4
Sb (0.1279, 0.7500, 0.1250) x8

***

Entry 8:
Tl23SnSb6: calculated powder diffractogram (λ = 1.5418 Å (Cu Kα)), based on a cell relaxed with GGA-PBE.
Neutral-atom scattering factors, no anomalous dispersion.

Most intense lines, 10° ≤ 2θ ≤ 90°, low angle first:
two_theta  I (rel.)
19.6  5
22.7  4
32.3  100
38.0  3
46.3  18
57.5  37
61.1  3
67.5  11
76.8  15
85.8  4

Structural model:
Unit cell a=15.6951 b=15.6951 c=15.6951 alpha=90.00 beta=90.00 gamma=90.00
Space group Fm-3m (No. 225)
Inequivalent atoms, fractional coordinates:
Tl (0.0000, 0.0000, 0.0000) x4
Tl (0.0000, 0.2500, 0.2500) x24
Tl (0.1197, 0.1197, 0.3803) x32
Tl (0.1295, 0.1295, 0.1295) x32
Sn (0.0000, 0.0000, 0.5000) x4
Sb (0.0000, 0.0000, 0.2359) x24